[1]
PrNd8Tl6: computed powder X-ray diffraction pattern (Cu Kα, 1.54184 Å), based on a DFT-relaxed cell (GGA-PBE, Alexandria).
Lines closer than 0.1° are merged.

Peak list (10 most intense, 2θ = 10–90°, by angle)
d (Å)  intensity
6.645  6
4.698  11
3.836  9
2.712  100
2.511  3
1.918  19
1.566  39
1.356  12
1.213  17
1.107  4

Atomic structure:
Lattice parameters (Å, degrees): 9.3957 9.3957 19.9340 90.00 90.00 120.00
Space group R-3 (No. 148, hexagonal axes)
Asymmetric unit:
Pr1 0.0000 0.0000 0.0000 (multiplicity 3)
Nd1 0.0000 0.0000 0.3331 (multiplicity 6)
Nd2 0.9999 0.3325 0.8875 (multiplicity 18)
Tl1 0.0001 0.3350 0.0582 (multiplicity 18)

***

[2]
Pm2HoMg8: computed powder X-ray diffraction pattern (Cu Kα, 1.54184 Å), based on a DFT-relaxed cell (GGA-PBE, Alexandria).
Lines closer than 0.1° are merged.

Peak list (10 most intense, 2θ = 10–90°, by angle)
d (Å)  intensity
4.319  91
4.133  64
3.782  32
3.599  33
2.810  61
2.630  38
2.607  100
2.274  24
2.219  25
1.379  20

Atomic structure:
Lattice parameters (Å, degrees): 5.2608 7.5647 14.8042 90.00 90.00 90.00
Space group Immm (No. 71)
Asymmetric unit:
Pm1 0.0000 0.0000 0.2068 (multiplicity 4)
Ho1 0.0000 0.0000 0.5000 (multiplicity 2)
Mg1 0.0000 0.2108 0.0000 (multiplicity 4)
Mg2 0.0000 0.3004 0.3643 (multiplicity 8)
Mg3 0.0000 0.5000 0.1540 (multiplicity 4)